The following is a computed X-ray powder pattern of RbCo3C4O12. It was derived from the PBE+U geometry in Alexandria, using copper Kα.
Intensities are scaled so that the largest is 100.

Structure:
a b c (Å): 9.6407 9.6407 8.4660
angles (deg): 90.00 90.00 120.00
Space group R32 (No. 155, hexagonal axes)
Asymmetric unit:
1 Rb 0.0000 0.0000 0.0000 [3 per cell]
2 Co 0.0000 0.5430 0.0000 [9 per cell]
3 C 0.0000 0.0000 0.5000 [3 per cell]
4 C 0.0000 0.4564 0.5000 [9 per cell]
5 O 0.0000 0.5936 0.5000 [9 per cell]
6 O 0.0000 0.8652 0.5000 [9 per cell]
7 O 0.0013 0.2078 0.2151 [18 per cell]

Top 10 peaks for 2θ = 10–80°, by angle:
2θ/deg, d_spacing, I/Imax
23.76, 3.744, 36
30.07, 2.972, 100
30.23, 2.957, 12
37.31, 2.410, 17
44.60, 2.032, 18
44.72, 2.027, 11
48.21, 1.888, 19
49.75, 1.833, 19
57.34, 1.607, 7
62.89, 1.478, 9